1.
The following is a computed powder diffraction line list of PuSc3P4. It was derived from the PBE geometry in Alexandria, using λ = 1.5418 Å (Cu Kα).

Peak list (8 most intense, 5° ≤ 2θ ≤ 70°, by angle)
d 7.636, 2θ 11.6, I 24, hkl 0 1 0
d 6.205, 2θ 14.3, I 33, hkl 1 0 0
d 4.825, 2θ 18.4, I 39, hkl 0 1 1
d 3.259, 2θ 27.4, I 24, hkl 0 2 1
d 3.119, 2θ 28.6, I 36, hkl 0 0 2
d 2.697, 2θ 33.2, I 100, hkl 1 2 1
d 1.911, 2θ 47.6, I 35, hkl 1 2 -3
d 1.903, 2θ 47.8, I 35, hkl 2 0 2

Structure:
```
data_PuSc3P4
_chemical_formula_sum 'Pu2 Sc6 P8'
_space_group_name_H-M_alt 'P 1 2/c 1'
_space_group_IT_number 13
_cell_length_a 6.5840
_cell_length_b 7.6357
_cell_length_c 6.6266
_cell_angle_alpha 90.00
_cell_angle_beta 109.55
_cell_angle_gamma 90.00
loop_
_space_group_symop_operation_xyz
'x,y,z'
'-x,-y,-z'
'-x,y,-z+1/2'
'x,-y,z+1/2'
loop_
_atom_site_label
_atom_site_type_symbol
_atom_site_fract_x
_atom_site_fract_y
_atom_site_fract_z
Pu1 Pu 0.0000 0.1283 0.2500
Sc1 Sc 0.0000 0.3770 0.7500
Sc2 Sc 0.5000 0.1292 0.7500
Sc3 Sc 0.5000 0.3769 0.2500
P1 P 0.2543 0.3798 0.5034
P2 P 0.2559 0.1275 0.9999
```

2.
The following is a computed powder diffraction line list of LiCdHgPd2. It was derived from the PBE geometry in Alexandria, using λ = 1.5418 Å (Cu Kα).

Peak list (8 most intense, 5° ≤ 2θ ≤ 70°, by angle)
d 3.858, 2θ 23.1, I 49, hkl 0 0 2
d 2.963, 2θ 30.2, I 46, hkl 1 1 0
d 2.766, 2θ 32.4, I 38, hkl 1 1 1
d 2.741, 2θ 32.7, I 34, hkl 0 4 2
d 2.596, 2θ 34.6, I 76, hkl 0 6 0
d 2.350, 2θ 38.3, I 100, hkl 1 1 2
d 2.168, 2θ 41.7, I 35, hkl 1 5 0
d 1.890, 2θ 48.2, I 67, hkl 1 5 2

Structure:
```
data_LiCdHgPd2
_chemical_formula_sum 'Li4 Cd4 Hg4 Pd8'
_space_group_name_H-M_alt 'C m c m'
_space_group_IT_number 63
_space_group_name_Hall '-C 2c 2'
_cell_length_a 3.0185
_cell_length_b 15.5762
_cell_length_c 7.7152
_cell_angle_alpha 90.00
_cell_angle_beta 90.00
_cell_angle_gamma 90.00
loop_
_atom_site_label
_atom_site_type_symbol
_atom_site_fract_x
_atom_site_fract_y
_atom_site_fract_z
Li1 Li 0.0000 0.0840 0.2500
Cd1 Cd 0.0000 0.1658 0.7500
Hg1 Hg 0.0000 0.5000 0.0000
Pd1 Pd 0.0000 0.3223 0.5564
```

3.
The following is a computed powder diffraction line list of LiBIr3. It was derived from the PBE geometry in Alexandria, using λ = 1.5418 Å (Cu Kα).

Peak list (8 most intense, 5° ≤ 2θ ≤ 70°, by angle)
d 4.586, 2θ 19.4, I 64, hkl 1 0 1
d 2.780, 2θ 32.2, I 21, hkl 1 1 0
d 2.505, 2θ 35.8, I 47, hkl 0 0 6
d 2.378, 2θ 37.8, I 100, hkl 0 2 1
d 2.293, 2θ 39.3, I 19, hkl 2 0 2
d 2.027, 2θ 44.7, I 46, hkl 0 2 4
d 1.879, 2θ 48.4, I 71, hkl 2 0 5
d 1.390, 2θ 67.4, I 29, hkl 2 2 0

Structure:
```
data_LiBIr3
_chemical_formula_sum 'Li6 B6 Ir18'
_space_group_name_H-M_alt 'R -3 m'
_space_group_IT_number 166
_space_group_name_Hall '-R 3 2"'
_cell_length_a 5.5607
_cell_length_b 5.5607
_cell_length_c 15.0294
_cell_angle_alpha 90.00
_cell_angle_beta 90.00
_cell_angle_gamma 120.00
loop_
_atom_site_label
_atom_site_type_symbol
_atom_site_fract_x
_atom_site_fract_y
_atom_site_fract_z
Li1 Li 0.0000 0.0000 0.0903
B1 B 0.0000 0.0000 0.3304
Ir1 Ir 0.0039 0.5020 0.0935
```

4.
The following is a computed powder diffraction line list of Pr4Sm7Th. It was derived from the PBE geometry in Alexandria, using λ = 1.5418 Å (Cu Kα).

Peak list (8 most intense, 5° ≤ 2θ ≤ 70°, by angle)
d 3.161, 2θ 28.2, I 38, hkl 1 -2 0
d 2.962, 2θ 30.2, I 48, hkl 0 0 3
d 2.873, 2θ 31.1, I 100, hkl 2 0 -2
d 2.733, 2θ 32.8, I 81, hkl 2 0 1
d 2.302, 2θ 39.1, I 20, hkl -1 2 3
d 1.839, 2θ 49.6, I 24, hkl 3 2 -1
d 1.725, 2θ 53.1, I 16, hkl 2 0 -5
d 1.563, 2θ 59.1, I 28, hkl 3 -2 2

Structure:
```
data_Pr4Sm7Th
_chemical_formula_sum 'Pr4 Sm7 Th1'
_space_group_name_H-M_alt 'P -1'
_space_group_IT_number 2
_cell_length_a 6.3731
_cell_length_b 7.3450
_cell_length_c 9.1376
_cell_angle_alpha 90.05
_cell_angle_beta 103.50
_cell_angle_gamma 90.11
loop_
_space_group_symop_operation_xyz
'x,y,z'
'-x,-y,-z'
loop_
_atom_site_label
_atom_site_type_symbol
_atom_site_fract_x
_atom_site_fract_y
_atom_site_fract_z
Pr1 Pr 0.2235 0.0003 0.1653
Pr2 Pr 0.2766 0.2551 0.8285
Sm1 Sm 0.0000 0.0000 0.5000
Sm2 Sm 0.2161 0.5002 0.1740
Sm3 Sm 0.2752 0.7446 0.8268
Sm4 Sm 0.5000 0.2567 0.4994
Th1 Th 0.0000 0.5000 0.5000
```

5.
The following is a computed powder diffraction line list of Y2TeC. It was derived from the PBE geometry in Alexandria, using λ = 1.5418 Å (Cu Kα).

Peak list (8 most intense, 5° ≤ 2θ ≤ 70°, by angle)
d 4.225, 2θ 21.0, I 21, hkl 1 1 1
d 3.130, 2θ 28.5, I 91, hkl 2 1 -1
d 2.986, 2θ 29.9, I 100, hkl 1 2 1
d 2.876, 2θ 31.1, I 65, hkl 1 1 -2
d 2.588, 2θ 34.7, I 39, hkl 2 0 2
d 2.519, 2θ 35.6, I 43, hkl 3 1 0
d 2.333, 2θ 38.6, I 22, hkl 1 3 0
d 2.086, 2θ 43.4, I 28, hkl 2 3 0

Structure:
```
data_Y2TeC
_chemical_formula_sum 'Y8 Te4 C4'
_space_group_name_H-M_alt 'P 1 21/c 1'
_space_group_IT_number 14
_cell_length_a 8.0489
_cell_length_b 7.3132
_cell_length_c 6.7805
_cell_angle_alpha 90.00
_cell_angle_beta 90.24
_cell_angle_gamma 90.00
loop_
_space_group_symop_operation_xyz
'x,y,z'
'-x,-y,-z'
'-x,y+1/2,-z+1/2'
'x,-y+1/2,z+1/2'
loop_
_atom_site_label
_atom_site_type_symbol
_atom_site_fract_x
_atom_site_fract_y
_atom_site_fract_z
Y1 Y 0.0942 0.1608 0.1245
Y2 Y 0.2932 0.7051 0.9604
Te1 Te 0.3800 0.0961 0.7811
C1 C 0.1035 0.6614 0.6810
```

6.
The following is a computed powder diffraction line list of Nd5YSc2. It was derived from the PBE geometry in Alexandria, using λ = 1.5418 Å (Cu Kα).

Peak list (8 most intense, 5° ≤ 2θ ≤ 70°, by angle)
d 3.879, 2θ 22.9, I 23, hkl 2 1 1
d 2.916, 2θ 30.7, I 100, hkl 2 1 3
d 2.885, 2θ 31.0, I 70, hkl 3 1 0
d 2.814, 2θ 31.8, I 20, hkl 1 1 4
d 2.579, 2θ 34.8, I 14, hkl 2 0 4
d 1.843, 2θ 49.5, I 12, hkl 4 0 4
d 1.690, 2θ 54.3, I 13, hkl 3 1 6
d 1.570, 2θ 58.8, I 24, hkl 5 2 3

Structure:
```
data_Nd5YSc2
_chemical_formula_sum 'Nd20 Y4 Sc8'
_space_group_name_H-M_alt 'I 4/m c m'
_space_group_IT_number 140
_space_group_name_Hall '-I 4 2c'
_cell_length_a 9.1238
_cell_length_b 9.1238
_cell_length_c 12.5065
_cell_angle_alpha 90.00
_cell_angle_beta 90.00
_cell_angle_gamma 90.00
loop_
_atom_site_label
_atom_site_type_symbol
_atom_site_fract_x
_atom_site_fract_y
_atom_site_fract_z
Nd1 Nd 0.0000 0.0000 0.0000
Nd2 Nd 0.1482 0.3518 0.1593
Y1 Y 0.0000 0.0000 0.2500
Sc1 Sc 0.1495 0.3505 0.5000
```

7.
The following is a computed powder diffraction line list of Fe4P6SN12. It was derived from the PBE geometry in Alexandria, using λ = 1.5418 Å (Cu Kα).

Peak list (8 most intense, 5° ≤ 2θ ≤ 70°, by angle)
d 5.260, 2θ 16.9, I 26, hkl 1 1 0
d 3.435, 2θ 25.9, I 100, hkl 1 1 2
d 2.876, 2θ 31.1, I 30, hkl 2 0 2
d 2.801, 2θ 32.0, I 20, hkl 1 0 3
d 2.275, 2θ 39.6, I 23, hkl 2 2 2
d 2.237, 2θ 40.3, I 20, hkl 2 1 3
d 2.088, 2θ 43.3, I 37, hkl 3 1 2
d 2.012, 2θ 45.1, I 25, hkl 3 2 1

Structure:
```
data_Fe4P6SN12
_chemical_formula_sum 'Fe8 P12 S2 N24'
_space_group_name_H-M_alt 'I -4 2 m'
_space_group_IT_number 121
_space_group_name_Hall 'I -4 2'
_cell_length_a 7.4390
_cell_length_b 7.4390
_cell_length_c 9.0694
_cell_angle_alpha 90.00
_cell_angle_beta 90.00
_cell_angle_gamma 90.00
loop_
_atom_site_label
_atom_site_type_symbol
_atom_site_fract_x
_atom_site_fract_y
_atom_site_fract_z
Fe1 Fe 0.1078 0.1078 0.3546
P1 P 0.0000 0.5000 0.0000
P2 P 0.1693 0.1693 0.8234
S1 S 0.0000 0.0000 0.0000
N1 N 0.1286 0.3640 0.4078
N2 N 0.2024 0.2024 0.1924
```

8.
The following is a computed powder diffraction line list of Pm2Pr7Er2. It was derived from the PBE geometry in Alexandria, using λ = 1.5418 Å (Cu Kα).

Peak list (8 most intense, 5° ≤ 2θ ≤ 70°, by angle)
d 3.062, 2θ 29.2, I 15, hkl 3 1 0
d 2.953, 2θ 30.3, I 100, hkl 2 2 1
d 2.918, 2θ 30.6, I 43, hkl 1 3 -1
d 2.890, 2θ 30.9, I 57, hkl 2 2 -2
d 2.808, 2θ 31.9, I 22, hkl 3 1 -2
d 2.719, 2θ 32.9, I 33, hkl 0 0 3
d 2.511, 2θ 35.8, I 18, hkl 4 0 -1
d 2.390, 2θ 37.6, I 17, hkl 0 4 0

Structure:
```
data_Pm2Pr7Er2
_chemical_formula_sum 'Pm4 Pr14 Er4'
_space_group_name_H-M_alt 'C 1 2/m 1'
_space_group_IT_number 12
_cell_length_a 10.0521
_cell_length_b 9.5616
_cell_length_c 8.4559
_cell_angle_alpha 90.00
_cell_angle_beta 105.28
_cell_angle_gamma 90.00
loop_
_space_group_symop_operation_xyz
'x,y,z'
'-x,-y,-z'
'-x,y,-z'
'x,-y,z'
'x+1/2,y+1/2,z'
'-x+1/2,-y+1/2,-z'
'-x+1/2,y+1/2,-z'
'x+1/2,-y+1/2,z'
loop_
_atom_site_label
_atom_site_type_symbol
_atom_site_fract_x
_atom_site_fract_y
_atom_site_fract_z
Pm1 Pm 0.0825 0.0000 0.3255
Pr1 Pr 0.0000 0.5000 0.5000
Pr2 Pr 0.2008 0.2030 0.6792
Pr3 Pr 0.2165 0.0000 0.0265
Er1 Er 0.0000 0.2936 0.0000
```

9.
The following is a computed powder diffraction line list of Tl2SiS3. It was derived from the PBE geometry in Alexandria, using λ = 1.5418 Å (Cu Kα).

Peak list (8 most intense, 5° ≤ 2θ ≤ 70°, by angle)
d 3.810, 2θ 23.3, I 75, hkl 1 1 3
d 3.638, 2θ 24.5, I 75, hkl 1 3 1
d 3.348, 2θ 26.6, I 100, hkl 0 4 1
d 3.279, 2θ 27.2, I 92, hkl 2 0 0
d 2.740, 2θ 32.7, I 61, hkl 0 2 5
d 2.102, 2θ 43.0, I 43, hkl 2 2 5
d 1.862, 2θ 48.9, I 26, hkl 1 7 1
d 1.775, 2θ 51.5, I 24, hkl 1 5 6

Structure:
```
data_Tl2SiS3
_chemical_formula_sum 'Tl16 Si8 S24'
_space_group_name_H-M_alt 'C m c e'
_space_group_IT_number 64
_space_group_name_Hall '-C 2ac 2'
_cell_length_a 6.5579
_cell_length_b 13.7159
_cell_length_c 14.9435
_cell_angle_alpha 90.00
_cell_angle_beta 90.00
_cell_angle_gamma 90.00
loop_
_atom_site_label
_atom_site_type_symbol
_atom_site_fract_x
_atom_site_fract_y
_atom_site_fract_z
Tl1 Tl 0.0000 0.0486 0.1398
Tl2 Tl 0.0000 0.1375 0.5532
Si1 Si 0.0000 0.2468 0.8254
S1 S 0.0000 0.1021 0.3368
S2 S 0.0000 0.1715 0.9485
S3 S 0.2500 0.1771 0.7500
```

10.
The following is a computed powder diffraction line list of Sm5Sn3. It was derived from the PBE geometry in Alexandria, using λ = 1.5418 Å (Cu Kα).

Peak list (8 most intense, 5° ≤ 2θ ≤ 70°, by angle)
d 3.024, 2θ 29.5, I 13, hkl 1 1 4
d 2.930, 2θ 30.5, I 11, hkl 2 2 0
d 2.912, 2θ 30.7, I 100, hkl 2 1 3
d 2.687, 2θ 33.3, I 22, hkl 2 0 4
d 2.621, 2θ 34.2, I 52, hkl 3 1 0
d 1.849, 2θ 49.3, I 14, hkl 4 1 3
d 1.464, 2θ 63.5, I 13, hkl 4 4 0
d 1.463, 2θ 63.6, I 16, hkl 5 2 3

Structure:
```
data_Sm5Sn3
_chemical_formula_sum 'Sm20 Sn12'
_space_group_name_H-M_alt 'I 4/m c m'
_space_group_IT_number 140
_space_group_name_Hall '-I 4 2c'
_cell_length_a 8.2884
_cell_length_b 8.2884
_cell_length_c 14.1207
_cell_angle_alpha 90.00
_cell_angle_beta 90.00
_cell_angle_gamma 90.00
loop_
_atom_site_label
_atom_site_type_symbol
_atom_site_fract_x
_atom_site_fract_y
_atom_site_fract_z
Sm1 Sm 0.0000 0.0000 0.0000
Sm2 Sm 0.1623 0.3377 0.1493
Sn1 Sn 0.0000 0.0000 0.2500
Sn2 Sn 0.1370 0.3630 0.5000
```

11.
The following is a computed powder diffraction line list of Tb3CeIr4. It was derived from the PBE geometry in Alexandria, using λ = 1.5418 Å (Cu Kα).

Peak list (8 most intense, 5° ≤ 2θ ≤ 70°, by angle)
d 2.457, 2θ 36.6, I 100, hkl 1 1 2
d 2.435, 2θ 36.9, I 24, hkl 0 2 0
d 2.416, 2θ 37.2, I 24, hkl 0 0 4
d 1.761, 2θ 51.9, I 9, hkl 2 0 0
d 1.715, 2θ 53.4, I 17, hkl 0 2 4
d 1.427, 2θ 65.4, I 9, hkl 2 2 0
d 1.410, 2θ 66.3, I 18, hkl 1 3 2
d 1.403, 2θ 66.7, I 17, hkl 1 1 6

Structure:
```
data_Tb3CeIr4
_chemical_formula_sum 'Tb3 Ce1 Ir4'
_space_group_name_H-M_alt 'P m m m'
_space_group_IT_number 47
_cell_length_a 3.5219
_cell_length_b 4.8697
_cell_length_c 9.6646
_cell_angle_alpha 90.00
_cell_angle_beta 90.00
_cell_angle_gamma 90.00
loop_
_space_group_symop_operation_xyz
'x,y,z'
'-x,-y,-z'
'-x,-y,z'
'x,y,-z'
'x,-y,-z'
'-x,y,z'
'-x,y,-z'
'x,-y,z'
loop_
_atom_site_label
_atom_site_type_symbol
_atom_site_fract_x
_atom_site_fract_y
_atom_site_fract_z
Tb1 Tb 0.0000 0.0000 0.0000
Tb2 Tb 0.0000 0.5000 0.2462
Ce1 Ce 0.0000 0.0000 0.5000
Ir1 Ir 0.5000 0.0000 0.2567
Ir2 Ir 0.5000 0.5000 0.0000
Ir3 Ir 0.5000 0.5000 0.5000
```

12.
The following is a computed powder diffraction line list of Ba3Fe3N5. It was derived from the PBE geometry in Alexandria, using λ = 1.5418 Å (Cu Kα).

Peak list (8 most intense, 5° ≤ 2θ ≤ 70°, by angle)
d 3.152, 2θ 28.3, I 38, hkl -1 2 1
d 3.082, 2θ 29.0, I 82, hkl 1 -1 2
d 2.953, 2θ 30.3, I 66, hkl 0 2 1
d 2.895, 2θ 30.9, I 81, hkl -2 1 1
d 2.787, 2θ 32.1, I 100, hkl 1 0 -3
d 2.762, 2θ 32.4, I 51, hkl 1 2 -2
d 2.708, 2θ 33.1, I 43, hkl 2 0 0
d 2.558, 2θ 35.1, I 32, hkl 1 -3 1

Structure:
```
data_Ba3Fe3N5
_chemical_formula_sum 'Ba6 Fe6 N10'
_space_group_name_H-M_alt 'P -1'
_space_group_IT_number 2
_cell_length_a 5.9033
_cell_length_b 7.8937
_cell_length_c 8.7781
_cell_angle_alpha 104.46
_cell_angle_beta 103.93
_cell_angle_gamma 104.26
loop_
_space_group_symop_operation_xyz
'x,y,z'
'-x,-y,-z'
loop_
_atom_site_label
_atom_site_type_symbol
_atom_site_fract_x
_atom_site_fract_y
_atom_site_fract_z
Ba1 Ba 0.1649 0.3600 0.3873
Ba2 Ba 0.2199 0.2259 0.7417
Ba3 Ba 0.2624 0.9306 0.1154
Fe1 Fe 0.1687 0.4920 0.0954
Fe2 Fe 0.3946 0.8366 0.4840
Fe3 Fe 0.4106 0.6614 0.8218
N1 N 0.1690 0.5717 0.9092
N2 N 0.2579 0.2756 0.0759
N3 N 0.2680 0.0223 0.4433
N4 N 0.3218 0.6662 0.2923
N5 N 0.3492 0.7357 0.6453
```

Repeat the seventh record exactly.
The following is a computed powder diffraction line list of Fe4P6SN12. It was derived from the PBE geometry in Alexandria, using λ = 1.5418 Å (Cu Kα).

Peak list (8 most intense, 5° ≤ 2θ ≤ 70°, by angle)
d 5.260, 2θ 16.9, I 26, hkl 1 1 0
d 3.435, 2θ 25.9, I 100, hkl 1 1 2
d 2.876, 2θ 31.1, I 30, hkl 2 0 2
d 2.801, 2θ 32.0, I 20, hkl 1 0 3
d 2.275, 2θ 39.6, I 23, hkl 2 2 2
d 2.237, 2θ 40.3, I 20, hkl 2 1 3
d 2.088, 2θ 43.3, I 37, hkl 3 1 2
d 2.012, 2θ 45.1, I 25, hkl 3 2 1

Structure:
```
data_Fe4P6SN12
_chemical_formula_sum 'Fe8 P12 S2 N24'
_space_group_name_H-M_alt 'I -4 2 m'
_space_group_IT_number 121
_space_group_name_Hall 'I -4 2'
_cell_length_a 7.4390
_cell_length_b 7.4390
_cell_length_c 9.0694
_cell_angle_alpha 90.00
_cell_angle_beta 90.00
_cell_angle_gamma 90.00
loop_
_atom_site_label
_atom_site_type_symbol
_atom_site_fract_x
_atom_site_fract_y
_atom_site_fract_z
Fe1 Fe 0.1078 0.1078 0.3546
P1 P 0.0000 0.5000 0.0000
P2 P 0.1693 0.1693 0.8234
S1 S 0.0000 0.0000 0.0000
N1 N 0.1286 0.3640 0.4078
N2 N 0.2024 0.2024 0.1924
```

What is the formula in the fifth record? Y2TeC